Record 1
For Li3FeF6, a structure optimized by DFT (PBE+U) gives the calculated powder X-ray diffraction pattern in this record (CuKα).
Peak positions follow from Bragg's law for the DFT cell and can differ from measured ones.

Most intense lines, 10° ≤ 2θ ≤ 90°, in order of rising 2θ:
- 2θ 20.20, intensity 39
- 2θ 20.57, intensity 70
- 2θ 20.79, intensity 100
- 2θ 21.99, intensity 39
- 2θ 28.78, intensity 35
- 2θ 40.65, intensity 40

Atomic structure:
Unit cell a=8.573 b=8.573 c=10.259 alpha=94.03 beta=94.03 gamma=61.72
Sites, in units of the cell vectors:
Li (0.006, 0.713, 0.231)
Li (0.059, 0.345, 0.432)
Li (0.120, 0.545, 0.949)
Li (0.190, 0.810, 0.750)
Li (0.287, 0.994, 0.269)
Li (0.327, 0.627, 0.462)
Li (0.345, 0.059, 0.932)
Li (0.373, 0.673, 0.038)
Li (0.455, 0.880, 0.551)
Li (0.545, 0.120, 0.449)
Li (0.627, 0.327, 0.962)
Li (0.655, 0.941, 0.068)
Li (0.673, 0.373, 0.538)
Li (0.713, 0.006, 0.731)
Li (0.810, 0.190, 0.250)
Li (0.880, 0.455, 0.051)
Li (0.941, 0.655, 0.568)
Li (0.994, 0.287, 0.769)
Fe (0.000, 0.000, 0.000)
Fe (0.000, 0.000, 0.500)
Fe (0.335, 0.340, 0.705)
Fe (0.340, 0.335, 0.205)
Fe (0.660, 0.665, 0.795)
Fe (0.665, 0.660, 0.295)
F (0.065, 0.078, 0.166)
F (0.078, 0.065, 0.666)
F (0.086, 0.760, 0.063)
F (0.094, 0.760, 0.566)
F (0.106, 0.415, 0.606)
F (0.108, 0.431, 0.110)
F (0.226, 0.266, 0.837)
F (0.238, 0.559, 0.306)
F (0.240, 0.906, 0.934)
F (0.240, 0.914, 0.437)
F (0.245, 0.566, 0.805)
F (0.266, 0.226, 0.337)
F (0.414, 0.430, 0.067)
F (0.415, 0.106, 0.106)
F (0.430, 0.414, 0.567)
F (0.431, 0.108, 0.610)
F (0.434, 0.755, 0.695)
F (0.441, 0.762, 0.194)
F (0.559, 0.238, 0.806)
F (0.566, 0.245, 0.305)
F (0.569, 0.892, 0.390)
F (0.570, 0.586, 0.433)
F (0.585, 0.894, 0.894)
F (0.586, 0.570, 0.933)
F (0.734, 0.774, 0.663)
F (0.755, 0.434, 0.195)
F (0.760, 0.086, 0.563)
F (0.760, 0.094, 0.066)
F (0.762, 0.441, 0.694)
F (0.774, 0.734, 0.163)
F (0.892, 0.569, 0.890)
F (0.894, 0.585, 0.394)
F (0.906, 0.240, 0.434)
F (0.914, 0.240, 0.937)
F (0.922, 0.935, 0.334)
F (0.935, 0.922, 0.834)

=====

Record 2
For KMoP2O8, a structure optimized by DFT (PBE+U) gives the calculated powder X-ray diffraction pattern in this record (CuKα).
Peak positions follow from Bragg's law for the DFT cell and can differ from measured ones.

Most intense lines, 10° ≤ 2θ ≤ 90°, in order of rising 2θ:
- 2θ 10.57, intensity 40
- 2θ 16.63, intensity 29
- 2θ 16.86, intensity 56
- 2θ 22.70, intensity 100
- 2θ 23.98, intensity 51
- 2θ 34.62, intensity 28

Atomic structure:
Unit cell a=5.184 b=11.971 c=12.707 alpha=90.00 beta=112.86 gamma=90.00
Sites, in units of the cell vectors:
K (0.173, 0.131, 0.447)
K (0.173, 0.369, 0.947)
K (0.827, 0.631, 0.053)
K (0.827, 0.869, 0.553)
Mo (0.405, 0.120, 0.165)
Mo (0.405, 0.380, 0.665)
Mo (0.595, 0.620, 0.335)
Mo (0.595, 0.880, 0.835)
P (0.111, 0.063, 0.864)
P (0.111, 0.437, 0.364)
P (0.117, 0.693, 0.852)
P (0.117, 0.807, 0.352)
P (0.883, 0.193, 0.648)
P (0.883, 0.307, 0.148)
P (0.889, 0.563, 0.636)
P (0.889, 0.937, 0.136)
O (0.045, 0.214, 0.116)
O (0.045, 0.286, 0.616)
O (0.065, 0.173, 0.785)
O (0.065, 0.327, 0.285)
O (0.146, 0.588, 0.919)
O (0.146, 0.912, 0.419)
O (0.184, 0.526, 0.648)
O (0.184, 0.974, 0.148)
O (0.248, 0.526, 0.317)
O (0.248, 0.974, 0.817)
O (0.290, 0.105, 0.982)
O (0.290, 0.395, 0.482)
O (0.404, 0.738, 0.859)
O (0.404, 0.762, 0.359)
O (0.494, 0.135, 0.309)
O (0.494, 0.365, 0.809)
O (0.506, 0.635, 0.191)
O (0.506, 0.865, 0.691)
O (0.596, 0.238, 0.641)
O (0.596, 0.262, 0.141)
O (0.710, 0.605, 0.518)
O (0.710, 0.895, 0.018)
O (0.752, 0.026, 0.183)
O (0.752, 0.474, 0.683)
O (0.816, 0.026, 0.852)
O (0.816, 0.474, 0.352)
O (0.854, 0.088, 0.581)
O (0.854, 0.412, 0.081)
O (0.935, 0.673, 0.715)
O (0.935, 0.827, 0.215)
O (0.955, 0.714, 0.384)
O (0.955, 0.786, 0.884)